Starting from a structure optimized by DFT (PBE), the X-ray diffraction stick pattern of CaTi2PbO6 was calculated for copper Kα.

Largest 10 diffraction maxima, in order of rising 2θ, 2θ from 15° to 90°:
15.06°, I = 100.0; 28.14°, I = 54.5; 30.38°, I = 84.9; 30.59°, I = 83.7; 33.48°, I = 58.1; 38.85°, I = 58.8; 39.54°, I = 25.2; 52.20°, I = 38.9; 57.81°, I = 28.4; 58.19°, I = 26.4

Crystal structure
Cell lengths 3.764, 5.999, 5.999 Å; angles 78.78, 90.00, 90.00 degrees
Atoms (fractional coordinates):
Ca 0.000 0.000 0.000
Ti 0.500 0.466 0.956
Ti 0.500 0.956 0.466
Pb 0.000 0.477 0.477
O 0.000 0.403 0.897
O 0.000 0.897 0.403
O 0.500 0.101 0.695
O 0.500 0.181 0.181
O 0.500 0.634 0.634
O 0.500 0.695 0.101